Diffraction record for Sr4CaMn2Ga2O11. The powder XRD pattern is computed, not measured: it uses a structure optimized by DFT (GGA+U) and Cu Ka.
Peak positions follow from Bragg's law for the DFT cell and can differ from measured ones.

Peak list (6 most intense, 2θ from 15° to 90°, low angle first)
2θ = 29.52°, 3.026 Å, I 92; 2θ = 30.89°, 2.894 Å, I 100; 2θ = 31.24°, 2.863 Å, I 40; 2θ = 33.69°, 2.660 Å, I 38; 2θ = 39.70°, 2.270 Å, I 41; 2θ = 53.03°, 1.727 Å, I 20

Atomic structure:
```
Sr4CaMn2Ga2O11
1.0
4.069 -4.540 0.000
4.069 4.540 0.000
-3.512 0.000 7.514
Sr Ca Mn Ga O
4 1 2 2 11
direct
0.178 0.178 0.258
0.335 0.305 0.694
0.695 0.665 0.306
0.822 0.822 0.742
0.321 0.679 0.000
0.237 0.763 0.500
0.763 0.237 0.500
0.528 0.108 0.012
0.892 0.472 0.988
0.017 0.482 0.460
0.115 0.688 0.211
0.312 0.885 0.789
0.369 0.344 0.054
0.518 0.983 0.540
0.548 0.452 0.500
0.549 0.019 0.214
0.656 0.631 0.946
0.827 0.173 0.000
0.981 0.019 0.500
0.981 0.451 0.786
```